# NiS2Br2
Calculated X-ray diffraction stick pattern, Cu Kα X-rays. Input: a structure optimized by DFT (GGA-PBE).
Lines closer than 0.1° are merged.

Top 10 peaks for 10° ≤ 2θ ≤ 90°, by angle:
hkl	d [Å]	I/Imax
0 0 1	7.531	61
0 1 0	4.248	91
1 0 0	3.476	31
1 0 2	2.911	40
1 -1 0	2.753	34
1 1 0	2.631	100
0 0 3	2.510	27
0 1 3	2.379	46
1 2 0	1.776	24
1 2 3	1.696	21

Crystal structure
Cell lengths 3.5724, 4.3355, 7.8853 Å; angles 78.77, 77.08, 89.97 degrees
Positions (direct):
Ni 0.0000 0.0000 0.0000
S 0.4579 0.6513 0.0855
S 0.5421 0.3487 0.9145
Br 0.1492 0.9484 0.6985
Br 0.8508 0.0516 0.3015

# Li2InSn2
Calculated X-ray diffraction stick pattern, Cu Kα X-rays. Input: a structure optimized by DFT (GGA-PBE).
Lines closer than 0.1° are merged.

Top 10 peaks for 10° ≤ 2θ ≤ 90°, by angle:
hkl	d [Å]	I/Imax
0 0 1	6.256	100
1 0 2	3.276	95
1 2 1	2.873	49
1 -2 0	2.857	51
1 2 0	2.674	46
1 -2 1	2.659	46
0 2 2	2.550	69
2 1 2	2.353	38
1 0 -2	2.262	73
0 2 -2	2.090	39

Crystal structure
Cell lengths 5.2928, 6.8326, 6.9075 Å; angles 79.38, 67.48, 89.63 degrees
Positions (direct):
Li 0.1050 0.1580 0.0926
Li 0.3019 0.6587 0.0885
Li 0.6981 0.3413 0.9115
Li 0.8950 0.8420 0.9074
In 0.0532 0.2505 0.5004
In 0.9468 0.7495 0.4996
Sn 0.3025 0.4979 0.7255
Sn 0.4744 0.0024 0.7261
Sn 0.5256 0.9976 0.2739
Sn 0.6975 0.5021 0.2745

# LaSm4Dy15
Calculated X-ray diffraction stick pattern, Cu Kα X-rays. Input: a structure optimized by DFT (GGA-PBE).
Lines closer than 0.1° are merged.

Top 10 peaks for 10° ≤ 2θ ≤ 90°, by angle:
hkl	d [Å]	I/Imax
1 1 5	2.916	100
2 0 0	2.528	34
0 0 10	2.520	17
2 2 0	1.786	36
3 1 5	1.524	29
1 1 15	1.521	14
2 2 10	1.458	12
3 3 5	1.160	6
3 1 15	1.158	12
4 2 0	1.131	6

Crystal structure
Cell lengths 5.0559, 5.0559, 25.2010 Å; angles 90.00, 90.00, 90.00 degrees
Positions (direct):
La 0.0000 0.0000 0.0000
Sm 0.0000 0.0000 0.2005
Sm 0.0000 0.0000 0.4003
Sm 0.0000 0.0000 0.5997
Sm 0.0000 0.0000 0.7995
Dy 0.0000 0.5000 0.1016
Dy 0.0000 0.5000 0.3006
Dy 0.0000 0.5000 0.5000
Dy 0.0000 0.5000 0.6994
Dy 0.0000 0.5000 0.8984
Dy 0.5000 0.0000 0.1016
Dy 0.5000 0.0000 0.3006
Dy 0.5000 0.0000 0.5000
Dy 0.5000 0.0000 0.6994
Dy 0.5000 0.0000 0.8984
Dy 0.5000 0.5000 0.0000
Dy 0.5000 0.5000 0.2013
Dy 0.5000 0.5000 0.4002
Dy 0.5000 0.5000 0.5998
Dy 0.5000 0.5000 0.7988

Copy entry 2 word for word.
# Li2InSn2
Calculated X-ray diffraction stick pattern, Cu Kα X-rays. Input: a structure optimized by DFT (GGA-PBE).
Lines closer than 0.1° are merged.

Top 10 peaks for 10° ≤ 2θ ≤ 90°, by angle:
hkl	d [Å]	I/Imax
0 0 1	6.256	100
1 0 2	3.276	95
1 2 1	2.873	49
1 -2 0	2.857	51
1 2 0	2.674	46
1 -2 1	2.659	46
0 2 2	2.550	69
2 1 2	2.353	38
1 0 -2	2.262	73
0 2 -2	2.090	39

Crystal structure
Cell lengths 5.2928, 6.8326, 6.9075 Å; angles 79.38, 67.48, 89.63 degrees
Positions (direct):
Li 0.1050 0.1580 0.0926
Li 0.3019 0.6587 0.0885
Li 0.6981 0.3413 0.9115
Li 0.8950 0.8420 0.9074
In 0.0532 0.2505 0.5004
In 0.9468 0.7495 0.4996
Sn 0.3025 0.4979 0.7255
Sn 0.4744 0.0024 0.7261
Sn 0.5256 0.9976 0.2739
Sn 0.6975 0.5021 0.2745

Question: Number 3 is which compound?
Answer: LaSm4Dy15

Question: What is the formula in the first record?
Answer: NiS2Br2